No. 1
Computed X-ray powder pattern of IrRu2Se for Cu Kα, from a PBE-relaxed structure.
No peak broadening, texture or thermal motion is included.

Cell and atoms:
abc: 2.883 3.996 5.311
angles: 90.00 104.54 90.00
Atoms (fractional coordinates):
Ir: 0.000 0.000 0.000
Ru: 0.372 0.500 0.746
Ru: 0.628 0.500 0.254
Se: 0.000 0.000 0.500

The 10 most intense peaks (2θ from 15° to 90°), in order of rising 2θ:
- 17.25°, I 21
- 28.29°, I 16
- 39.38°, I 89
- 39.69°, I 33
- 40.46°, I 17
- 41.35°, I 40
- 41.78°, I 100
- 45.40°, I 39
- 54.25°, I 17
- 63.07°, I 23

No. 2
Computed X-ray powder pattern of Si3IrRu3 for Cu Kα, from a PBE-relaxed structure.
No peak broadening, texture or thermal motion is included.

Cell and atoms:
abc: 10.254 3.782 9.969
angles: 90.00 90.00 90.00
Atoms (fractional coordinates):
Si: 0.082 0.250 0.085
Si: 0.087 0.250 0.593
Si: 0.214 0.750 0.847
Si: 0.286 0.250 0.347
Si: 0.413 0.750 0.093
Si: 0.418 0.750 0.585
Si: 0.582 0.250 0.415
Si: 0.587 0.250 0.907
Si: 0.714 0.750 0.653
Si: 0.786 0.250 0.153
Si: 0.913 0.750 0.407
Si: 0.918 0.750 0.915
Ir: 0.046 0.250 0.345
Ir: 0.454 0.750 0.845
Ir: 0.546 0.250 0.155
Ir: 0.954 0.750 0.655
Ru: 0.061 0.250 0.840
Ru: 0.201 0.750 0.490
Ru: 0.202 0.750 0.204
Ru: 0.298 0.250 0.704
Ru: 0.299 0.250 0.990
Ru: 0.439 0.750 0.340
Ru: 0.561 0.250 0.660
Ru: 0.701 0.750 0.010
Ru: 0.702 0.750 0.296
Ru: 0.798 0.250 0.796
Ru: 0.799 0.250 0.510
Ru: 0.939 0.750 0.160

The 10 most intense peaks (2θ from 15° to 90°), in order of rising 2θ:
- 30.71°, I 30
- 30.93°, I 78
- 37.06°, I 47
- 37.76°, I 27
- 40.23°, I 31
- 42.60°, I 100
- 44.42°, I 43
- 45.01°, I 26
- 47.13°, I 26
- 48.11°, I 41

No. 3
Computed X-ray powder pattern of TmSi2IrRu for Cu Kα, from a PBE-relaxed structure.
No peak broadening, texture or thermal motion is included.

Cell and atoms:
abc: 5.645 5.645 5.645
angles: 137.18 137.18 62.16
Atoms (fractional coordinates):
Tm: 0.000 0.000 0.000
Si: 0.374 0.374 0.000
Si: 0.626 0.626 0.000
Ir: 0.250 0.750 0.500
Ru: 0.750 0.250 0.500

The 10 most intense peaks (2θ from 15° to 90°), in order of rising 2θ:
- 23.47°, I 32
- 35.35°, I 25
- 35.98°, I 100
- 37.20°, I 18
- 43.94°, I 36
- 57.61°, I 12
- 58.89°, I 19
- 63.89°, I 12
- 66.28°, I 17
- 75.56°, I 23

No. 4
Computed X-ray powder pattern of Sn6Ir3Ru for Cu Kα, from a PBE-relaxed structure.
No peak broadening, texture or thermal motion is included.

Cell and atoms:
abc: 7.018 6.623 10.474
angles: 90.00 120.54 90.00
Atoms (fractional coordinates):
Sn: 0.085 0.002 0.276
Sn: 0.085 0.498 0.776
Sn: 0.256 0.172 0.597
Sn: 0.256 0.328 0.097
Sn: 0.397 0.646 0.568
Sn: 0.397 0.854 0.068
Sn: 0.603 0.146 0.932
Sn: 0.603 0.354 0.432
Sn: 0.744 0.672 0.903
Sn: 0.744 0.828 0.403
Sn: 0.915 0.502 0.224
Sn: 0.915 0.998 0.724
Ir: 0.000 0.000 0.000
Ir: 0.000 0.500 0.500
Ir: 0.296 0.657 0.270
Ir: 0.296 0.843 0.770
Ir: 0.704 0.157 0.230
Ir: 0.704 0.343 0.730
Ru: 0.500 0.000 0.500
Ru: 0.500 0.500 0.000

The 10 most intense peaks (2θ from 15° to 90°), in order of rising 2θ:
- 28.91°, I 31
- 29.24°, I 43
- 30.79°, I 22
- 34.68°, I 42
- 37.32°, I 32
- 40.41°, I 30
- 40.52°, I 39
- 42.99°, I 100
- 49.67°, I 23
- 67.68°, I 24

No. 5
Computed X-ray powder pattern of Sr2IrRu for Cu Kα, from a PBE-relaxed structure.
No peak broadening, texture or thermal motion is included.

Cell and atoms:
abc: 4.379 5.868 5.868
angles: 48.59 90.00 90.00
Atoms (fractional coordinates):
Sr: 0.000 0.000 0.000
Sr: 0.500 0.286 0.286
Ir: 0.000 0.690 0.690
Ru: 0.500 0.601 0.601

The 10 most intense peaks (2θ from 15° to 90°), in order of rising 2θ:
- 16.58°, I 77
- 20.18°, I 64
- 28.76°, I 100
- 31.18°, I 95
- 37.24°, I 50
- 37.48°, I 81
- 39.49°, I 46
- 41.23°, I 38
- 52.58°, I 43
- 55.40°, I 34

No. 6
Computed X-ray powder pattern of Ta6Ir5Ru for Cu Kα, from a PBE-relaxed structure.
No peak broadening, texture or thermal motion is included.

Cell and atoms:
abc: 4.798 5.817 7.530
angles: 112.58 93.85 90.05
Atoms (fractional coordinates):
Ta: 0.000 0.249 0.000
Ta: 0.000 0.751 0.000
Ta: 0.338 0.084 0.668
Ta: 0.338 0.585 0.668
Ta: 0.662 0.415 0.332
Ta: 0.662 0.916 0.332
Ir: 0.163 0.168 0.335
Ir: 0.165 0.666 0.333
Ir: 0.500 0.500 0.000
Ir: 0.835 0.334 0.667
Ir: 0.837 0.832 0.665
Ru: 0.500 0.000 0.000

The 10 most intense peaks (2θ from 15° to 90°), in order of rising 2θ:
- 38.95°, I 100
- 43.96°, I 18
- 44.07°, I 18
- 47.74°, I 14
- 64.00°, I 12
- 66.90°, I 15
- 77.48°, I 14
- 77.62°, I 10
- 82.93°, I 9
- 83.69°, I 6

No. 7
Computed X-ray powder pattern of Ta2Ir9Ru for Cu Kα, from a PBE-relaxed structure.
No peak broadening, texture or thermal motion is included.

Cell and atoms:
abc: 5.289 5.972 6.495
angles: 85.29 73.81 80.89
Atoms (fractional coordinates):
Ta: 0.238 0.132 0.102
Ta: 0.762 0.868 0.898
Ir: 0.025 0.732 0.190
Ir: 0.236 0.397 0.413
Ir: 0.290 0.841 0.771
Ir: 0.478 0.765 0.314
Ir: 0.500 0.500 0.000
Ir: 0.522 0.235 0.686
Ir: 0.710 0.159 0.229
Ir: 0.764 0.603 0.587
Ir: 0.975 0.268 0.810
Ru: 0.000 0.000 0.500

The 10 most intense peaks (2θ from 15° to 90°), in order of rising 2θ:
- 33.51°, I 58
- 38.52°, I 25
- 40.29°, I 100
- 41.48°, I 74
- 42.35°, I 72
- 43.09°, I 63
- 43.43°, I 62
- 46.35°, I 41
- 48.01°, I 36
- 83.97°, I 24

No. 8
Computed X-ray powder pattern of TaIr5RuW2 for Cu Kα, from a PBE-relaxed structure.
No peak broadening, texture or thermal motion is included.

Cell and atoms:
abc: 7.538 7.538 7.538
angles: 120.76 120.76 88.69
Atoms (fractional coordinates):
Ta: 0.250 0.250 0.000
Ta: 0.750 0.750 0.000
Ir: 0.000 0.000 0.000
Ir: 0.067 0.567 0.893
Ir: 0.174 0.067 0.500
Ir: 0.326 0.826 0.893
Ir: 0.433 0.326 0.500
Ir: 0.500 0.500 0.000
Ir: 0.567 0.674 0.500
Ir: 0.674 0.174 0.107
Ir: 0.826 0.933 0.500
Ir: 0.933 0.433 0.107
Ru: 0.250 0.750 0.500
Ru: 0.750 0.250 0.500
W: 0.113 0.387 0.500
W: 0.387 0.887 0.274
W: 0.613 0.113 0.726
W: 0.887 0.613 0.500

The 10 most intense peaks (2θ from 15° to 90°), in order of rising 2θ:
- 34.03°, I 61
- 36.78°, I 72
- 38.19°, I 39
- 41.34°, I 100
- 44.65°, I 30
- 50.41°, I 23
- 51.26°, I 26
- 57.04°, I 13
- 65.91°, I 12
- 73.75°, I 18

No. 9
Computed X-ray powder pattern of Tb4IrRu2 for Cu Kα, from a PBE-relaxed structure.
No peak broadening, texture or thermal motion is included.

Cell and atoms:
abc: 7.696 7.696 6.745
angles: 108.13 108.13 110.76
Atoms (fractional coordinates):
Tb: 0.018 0.392 0.776
Tb: 0.034 0.966 0.500
Tb: 0.197 0.578 0.392
Tb: 0.392 0.018 0.276
Tb: 0.543 0.694 0.001
Tb: 0.578 0.197 0.892
Tb: 0.694 0.543 0.501
Tb: 0.966 0.034 0.000
Ir: 0.652 0.905 0.529
Ir: 0.905 0.652 0.029
Ru: 0.183 0.821 0.802
Ru: 0.326 0.330 0.055
Ru: 0.330 0.326 0.555
Ru: 0.821 0.183 0.302

The 10 most intense peaks (2θ from 15° to 90°), in order of rising 2θ:
- 31.77°, I 100
- 32.42°, I 39
- 33.62°, I 15
- 34.42°, I 63
- 34.81°, I 50
- 35.07°, I 38
- 37.57°, I 67
- 38.64°, I 48
- 39.34°, I 37
- 42.83°, I 15

No. 10
Computed X-ray powder pattern of TcIr12Ru3 for Cu Kα, from a PBE-relaxed structure.
No peak broadening, texture or thermal motion is included.

Cell and atoms:
abc: 3.860 3.860 15.442
angles: 90.00 90.00 90.00
Atoms (fractional coordinates):
Tc: 0.000 0.000 0.000
Ir: 0.000 0.500 0.124
Ir: 0.000 0.500 0.375
Ir: 0.000 0.500 0.625
Ir: 0.000 0.500 0.876
Ir: 0.500 0.000 0.124
Ir: 0.500 0.000 0.375
Ir: 0.500 0.000 0.625
Ir: 0.500 0.000 0.876
Ir: 0.500 0.500 0.000
Ir: 0.500 0.500 0.250
Ir: 0.500 0.500 0.500
Ir: 0.500 0.500 0.750
Ru: 0.000 0.000 0.252
Ru: 0.000 0.000 0.500
Ru: 0.000 0.000 0.748

The 10 most intense peaks (2θ from 15° to 90°), in order of rising 2θ:
- 23.04°, I 5
- 32.81°, I 4
- 40.47°, I 100
- 47.08°, I 49
- 53.04°, I 2
- 58.57°, I 2
- 68.78°, I 32
- 73.61°, I 1
- 82.95°, I 39
- 87.54°, I 11

No. 11
Computed X-ray powder pattern of Tc2Ir9Ru for Cu Kα, from a PBE-relaxed structure.
No peak broadening, texture or thermal motion is included.

Cell and atoms:
abc: 3.867 3.867 11.593
angles: 90.00 90.00 90.00
Atoms (fractional coordinates):
Tc: 0.000 0.000 0.169
Tc: 0.000 0.000 0.831
Ir: 0.000 0.500 0.000
Ir: 0.000 0.500 0.332
Ir: 0.000 0.500 0.668
Ir: 0.500 0.000 0.000
Ir: 0.500 0.000 0.332
Ir: 0.500 0.000 0.668
Ir: 0.500 0.500 0.166
Ir: 0.500 0.500 0.500
Ir: 0.500 0.500 0.834
Ru: 0.000 0.000 0.500

The 10 most intense peaks (2θ from 15° to 90°), in order of rising 2θ:
- 23.01°, I 5
- 32.76°, I 4
- 40.41°, I 100
- 47.01°, I 49
- 52.96°, I 2
- 58.48°, I 2
- 68.67°, I 32
- 73.49°, I 1
- 82.81°, I 39
- 87.39°, I 11

No. 12
Computed X-ray powder pattern of Zn2TcIrRu for Cu Kα, from a PBE-relaxed structure.
No peak broadening, texture or thermal motion is included.

Cell and atoms:
abc: 4.670 4.670 4.704
angles: 90.00 90.00 90.00
Atoms (fractional coordinates):
Zn: 0.000 0.500 0.000
Zn: 0.500 0.000 0.000
Tc: 0.000 0.000 0.500
Ir: 0.500 0.500 0.000
Ru: 0.500 0.500 0.500

The 10 most intense peaks (2θ from 15° to 90°), in order of rising 2θ:
- 19.00°, I 64
- 26.95°, I 100
- 33.14°, I 23
- 38.27°, I 43
- 38.55°, I 85
- 43.30°, I 23
- 47.64°, I 23
- 55.45°, I 58
- 55.66°, I 29
- 69.56°, I 29

No. 13
Computed X-ray powder pattern of Ti2Ir9Ru for Cu Kα, from a PBE-relaxed structure.
No peak broadening, texture or thermal motion is included.

Cell and atoms:
abc: 4.761 6.123 6.132
angles: 84.39 82.48 82.45
Atoms (fractional coordinates):
Ti: 0.249 0.094 0.408
Ti: 0.751 0.906 0.592
Ir: 0.007 0.167 0.833
Ir: 0.250 0.419 0.082
Ir: 0.250 0.760 0.740
Ir: 0.492 0.665 0.335
Ir: 0.500 0.000 0.000
Ir: 0.508 0.335 0.665
Ir: 0.750 0.240 0.260
Ir: 0.750 0.581 0.918
Ir: 0.993 0.833 0.167
Ru: 0.000 0.500 0.500

The 10 most intense peaks (2θ from 15° to 90°), in order of rising 2θ:
- 40.17°, I 52
- 40.27°, I 100
- 40.37°, I 50
- 46.84°, I 98
- 68.27°, I 21
- 68.39°, I 21
- 82.33°, I 25
- 82.43°, I 19
- 82.55°, I 19
- 82.67°, I 13